# Sr2CrSnO6
Theoretical XRD peak list, Cu Kα. Input: DFT lattice parameters and positions (GGA+U).
Intensities are scaled so that the largest is 100.

Principal peaks in the range 2θ from 15° to 90°, by angle:
| index | Position (°2θ) | intensity |
| --- | --- | --- |
| 1 0 1 | 24.82 | 8 |
| 1 1 0 | 31.56 | 100 |
| 2 0 0 | 45.17 | 24 |
| 0 0 4 | 45.36 | 11 |
| 2 1 2 | 56.16 | 26 |
| 1 1 4 | 56.28 | 12 |
| 2 2 0 | 65.80 | 7 |
| 2 0 4 | 65.94 | 13 |
| 3 1 0 | 74.80 | 12 |
| 2 2 4 | 83.53 | 7 |

a b c (Å): 4.014 4.014 7.998
angles (deg): 90.00 90.00 90.00
Space group P4/mmm (No. 123)
Asymmetric unit:
Sr  0.000  0.000  0.234
Cr  0.500  0.500  0.000
Sn  0.500  0.500  0.500
O  0.000  0.500  0.000
O  0.000  0.500  0.500
O  0.500  0.500  0.240